Diffraction record for RbCdIn2Sn. The powder diffractogram is simulated, not measured: it uses a cell relaxed with GGA-PBE and λ = 1.5418 Å (Cu Kα).
Kinematic intensities with the Lorentz-polarization factor, no thermal factor.

Top 6 peaks for 2θ = 10–90°, sorted by position:
| 2theta | I/Imax |
| --- | --- |
| 27.61 | 45 |
| 28.83 | 100 |
| 35.76 | 72 |
| 38.09 | 55 |
| 39.88 | 29 |
| 51.47 | 25 |

Atomic structure:
a b c (Å): 5.022 5.022 12.659
angles (deg): 90.00 90.00 90.00
Space group I-4m2 (No. 119)
One atom of each set of equivalent atoms:
Rb1 0.000 0.000 0.000 x2
Cd1 0.000 0.500 0.750 x2
In1 0.000 0.000 0.384 x4
Sn1 0.000 0.500 0.250 x2


Diffraction record for La7Sn3O2. The powder diffractogram is simulated, not measured: it uses a cell relaxed with GGA-PBE and λ = 1.5418 Å (Cu Kα).
Kinematic intensities with the Lorentz-polarization factor, no thermal factor.

Top 6 peaks for 2θ = 10–90°, sorted by position:
| 2theta | I/Imax |
| --- | --- |
| 30.65 | 100 |
| 34.86 | 19 |
| 35.15 | 20 |
| 36.57 | 18 |
| 60.29 | 15 |
| 62.19 | 14 |

Atomic structure:
a b c (Å): 5.106 25.739 4.914
angles (deg): 90.00 90.00 90.00
Space group Cmmm (No. 65)
One atom of each set of equivalent atoms:
La1 0.000 0.000 0.000 x2
La2 0.000 0.096 0.500 x4
La3 0.000 0.204 0.000 x4
La4 0.000 0.398 0.000 x4
Sn1 0.000 0.308 0.500 x4
Sn2 0.000 0.500 0.500 x2
O1 0.000 0.102 0.000 x4


Diffraction record for Na4Tl4Pb. The powder diffractogram is simulated, not measured: it uses a cell relaxed with GGA-PBE and λ = 1.5418 Å (Cu Kα).
Kinematic intensities with the Lorentz-polarization factor, no thermal factor.

Top 6 peaks for 2θ = 10–90°, sorted by position:
| 2theta | I/Imax |
| --- | --- |
| 16.64 | 26 |
| 21.20 | 27 |
| 31.95 | 100 |
| 35.76 | 37 |
| 54.37 | 23 |
| 61.87 | 31 |

Atomic structure:
a b c (Å): 10.653 10.653 4.558
angles (deg): 90.00 90.00 90.00
Space group I4/mmm (No. 139)
One atom of each set of equivalent atoms:
Na1 0.164 0.164 0.000 x8
Tl1 0.000 0.335 0.500 x8
Pb1 0.000 0.000 0.500 x2